Record 1
Yb2CuTe2S2O14: theoretical X-ray powder pattern (CuKα), based on a structure optimized by DFT (GGA-PBE).

Largest 8 diffraction maxima, low angle first, 10° ≤ 2θ ≤ 90°:
2θ (°)	intensity	h k l
12.69	62	0 1 -1
22.89	100	1 -1 1
24.57	40	1 1 -2
25.05	75	0 2 0
29.87	39	1 2 -2
31.46	36	-1 1 2
32.42	37	1 1 1
33.83	37	2 0 -1

Crystal structure
abc: 5.3221 8.1262 8.4459
angles: 115.61 105.28 95.58
Space group P-1 (No. 2)
One atom of each set of equivalent atoms:
Yb 0.1805 0.2342 0.0248
Cu 0.5000 0.5000 0.5000
Te 0.1152 0.7622 0.6358
S 0.4041 0.7414 0.2397
O 0.1265 0.9085 0.8834
O 0.1290 0.4382 0.3658
O 0.1669 0.8254 0.2370
O 0.3096 0.5401 0.0946
O 0.4028 0.1587 0.8100
O 0.4350 0.6804 0.7122
O 0.4644 0.2378 0.5731

Record 2
U2CuS2O22: theoretical X-ray powder pattern (CuKα), based on a structure optimized by DFT (GGA-PBE).

Largest 8 diffraction maxima, low angle first, 10° ≤ 2θ ≤ 90°:
2θ (°)	intensity	h k l
12.42	100	0 1 -1
13.75	41	1 0 0
14.82	39	1 -1 0
19.24	42	0 1 1
21.40	30	0 0 2
24.25	36	1 1 -2
25.00	32	0 2 -2
26.03	32	2 -1 0

Crystal structure
abc: 6.8888 8.3940 9.1279
angles: 112.07 93.20 107.66
Space group P-1 (No. 2)
One atom of each set of equivalent atoms:
U 0.1465 0.2719 0.2424
Cu 0.0000 0.0000 0.5000
S 0.3322 0.7035 0.6222
O 0.0019 0.7739 0.3326
O 0.0874 0.1282 0.3581
O 0.1545 0.6738 0.7105
O 0.1630 0.9651 0.0189
O 0.1915 0.3854 0.1095
O 0.1964 0.3250 0.7611
O 0.2749 0.5317 0.4686
O 0.2823 0.8948 0.0630
O 0.3302 0.2469 0.7179
O 0.3760 0.8665 0.5940
O 0.4881 0.2974 0.2765